Structure and theoretical X-ray powder pattern of HfTaBi2S (a GGA-PBE-relaxed structure; Cu Kα (weighted mean of Kα1 and Kα2)).
Peak positions follow from Bragg's law for the DFT cell and can differ from measured ones.

Cell: 5.392 5.392 4.479 Å, 90.00 90.00 90.00°
Positions (direct):
Hf (0.000, 0.000, 0.000)
Ta (0.500, 0.500, 0.000)
Bi (0.000, 0.500, 0.500)
Bi (0.500, 0.000, 0.500)
S (0.500, 0.500, 0.500)

Largest 12 diffraction maxima, by angle, 15 to 90 degrees two-theta:
30.80°, I = 1000; 33.23°, I = 490; 40.27°, I = 146; 47.70°, I = 181; 53.17°, I = 263; 57.86°, I = 350; 64.15°, I = 151; 67.36°, I = 112; 78.17°, I = 75; 79.49°, I = 84; 83.75°, I = 75; 86.68°, I = 119

---

Structure and theoretical X-ray powder pattern of HfSc4Bi (a GGA-PBE-relaxed structure; Cu Kα (weighted mean of Kα1 and Kα2)).
Peak positions follow from Bragg's law for the DFT cell and can differ from measured ones.

Cell: 4.814 4.814 7.314 Å, 90.00 90.00 90.00°
Positions (direct):
Hf (0.000, 0.000, 0.000)
Sc (0.000, 0.500, 0.227)
Sc (0.000, 0.500, 0.773)
Sc (0.500, 0.000, 0.227)
Sc (0.500, 0.000, 0.773)
Bi (0.500, 0.500, 0.500)

Largest 12 diffraction maxima, by angle, 15 to 90 degrees two-theta:
22.11°, I = 1000; 26.18°, I = 88; 36.05°, I = 615; 37.36°, I = 285; 41.52°, I = 200; 43.84°, I = 343; 53.87°, I = 97; 57.08°, I = 160; 63.94°, I = 105; 66.54°, I = 199; 71.89°, I = 82; 82.38°, I = 83

---

Structure and theoretical X-ray powder pattern of Hf2BiSe (a GGA-PBE-relaxed structure; Cu Kα (weighted mean of Kα1 and Kα2)).
Peak positions follow from Bragg's law for the DFT cell and can differ from measured ones.

Cell: 7.756 6.925 6.913 Å, 90.00 90.38 90.00°
Positions (direct):
Hf (0.098, 0.192, 0.497)
Hf (0.098, 0.308, 0.997)
Hf (0.324, 0.697, 0.007)
Hf (0.324, 0.803, 0.507)
Hf (0.676, 0.197, 0.493)
Hf (0.676, 0.303, 0.993)
Hf (0.902, 0.692, 0.003)
Hf (0.902, 0.808, 0.503)
Bi (0.385, 0.094, 0.211)
Bi (0.385, 0.406, 0.711)
Bi (0.615, 0.594, 0.289)
Bi (0.615, 0.906, 0.789)
Se (0.117, 0.569, 0.295)
Se (0.117, 0.931, 0.795)
Se (0.883, 0.069, 0.205)
Se (0.883, 0.431, 0.705)

Largest 12 diffraction maxima, by angle, 15 to 90 degrees two-theta:
26.34°, I = 156; 28.20°, I = 156; 28.84°, I = 411; 29.32°, I = 267; 29.46°, I = 379; 34.67°, I = 193; 36.74°, I = 485; 37.09°, I = 1000; 37.28°, I = 768; 41.26°, I = 421; 45.74°, I = 335; 46.86°, I = 182

---

Structure and theoretical X-ray powder pattern of Hf5BiSe (a GGA-PBE-relaxed structure; Cu Kα (weighted mean of Kα1 and Kα2)).
Peak positions follow from Bragg's law for the DFT cell and can differ from measured ones.

Cell: 6.089 6.089 10.257 Å, 105.09 105.09 61.94°
Positions (direct):
Hf (0.051, 0.397, 0.642)
Hf (0.093, 0.907, 0.750)
Hf (0.227, 0.494, 0.960)
Hf (0.397, 0.051, 0.142)
Hf (0.494, 0.227, 0.460)
Hf (0.506, 0.773, 0.540)
Hf (0.603, 0.949, 0.858)
Hf (0.773, 0.506, 0.040)
Hf (0.907, 0.093, 0.250)
Hf (0.949, 0.603, 0.358)
Bi (0.421, 0.579, 0.250)
Bi (0.579, 0.421, 0.750)
Se (0.000, 0.000, 0.000)
Se (0.000, 0.000, 0.500)

Largest 12 diffraction maxima, by angle, 15 to 90 degrees two-theta:
29.25°, I = 248; 29.78°, I = 159; 33.56°, I = 1000; 33.81°, I = 225; 34.22°, I = 130; 34.57°, I = 269; 35.17°, I = 409; 35.69°, I = 446; 39.91°, I = 519; 46.07°, I = 132; 58.38°, I = 232; 62.08°, I = 128

---

Structure and theoretical X-ray powder pattern of HfTl3Bi3Se8 (a GGA-PBE-relaxed structure; Cu Kα (weighted mean of Kα1 and Kα2)).
Peak positions follow from Bragg's law for the DFT cell and can differ from measured ones.

Cell: 9.175 9.175 9.175 Å, 54.41 54.41 54.41°
Positions (direct):
Hf (0.000, 0.000, 0.000)
Tl (0.000, 0.000, 0.500)
Tl (0.000, 0.500, 0.000)
Tl (0.500, 0.000, 0.000)
Bi (0.000, 0.500, 0.500)
Bi (0.500, 0.000, 0.500)
Bi (0.500, 0.500, 0.000)
Se (0.221, 0.221, 0.759)
Se (0.221, 0.759, 0.221)
Se (0.241, 0.779, 0.779)
Se (0.261, 0.261, 0.261)
Se (0.739, 0.739, 0.739)
Se (0.759, 0.221, 0.221)
Se (0.779, 0.241, 0.779)
Se (0.779, 0.779, 0.241)

Largest 12 diffraction maxima, by angle, 15 to 90 degrees two-theta:
22.82°, I = 109; 25.68°, I = 203; 28.94°, I = 1000; 39.58°, I = 380; 43.13°, I = 349; 46.18°, I = 78; 49.35°, I = 98; 52.78°, I = 184; 59.97°, I = 112; 65.38°, I = 150; 70.45°, I = 152; 76.69°, I = 107

---

Structure and theoretical X-ray powder pattern of Hf2SiBi2 (a GGA-PBE-relaxed structure; Cu Kα (weighted mean of Kα1 and Kα2)).
Peak positions follow from Bragg's law for the DFT cell and can differ from measured ones.

Cell: 7.364 7.364 4.391 Å, 90.00 90.00 90.00°
Positions (direct):
Hf (0.153, 0.347, 0.000)
Hf (0.347, 0.847, 0.000)
Hf (0.653, 0.153, 0.000)
Hf (0.847, 0.653, 0.000)
Si (0.000, 0.000, 0.000)
Si (0.500, 0.500, 0.000)
Bi (0.157, 0.657, 0.500)
Bi (0.343, 0.157, 0.500)
Bi (0.657, 0.843, 0.500)
Bi (0.843, 0.343, 0.500)

Largest 12 diffraction maxima, by angle, 15 to 90 degrees two-theta:
17.03°, I = 168; 24.17°, I = 110; 34.03°, I = 1000; 38.66°, I = 205; 41.11°, I = 137; 49.51°, I = 71; 52.74°, I = 105; 55.54°, I = 140; 57.71°, I = 130; 68.97°, I = 97; 70.39°, I = 127; 72.38°, I = 165

---

Structure and theoretical X-ray powder pattern of Hf6SiBi2 (a GGA-PBE-relaxed structure; Cu Kα (weighted mean of Kα1 and Kα2)).
Peak positions follow from Bragg's law for the DFT cell and can differ from measured ones.

Cell: 5.718 7.649 10.788 Å, 90.00 120.35 90.00°
Positions (direct):
Hf (0.065, 0.190, 0.451)
Hf (0.065, 0.310, 0.951)
Hf (0.320, 0.018, 0.213)
Hf (0.320, 0.482, 0.713)
Hf (0.327, 0.673, 0.455)
Hf (0.327, 0.827, 0.955)
Hf (0.673, 0.173, 0.045)
Hf (0.673, 0.327, 0.545)
Hf (0.680, 0.518, 0.287)
Hf (0.680, 0.982, 0.787)
Hf (0.935, 0.690, 0.049)
Hf (0.935, 0.810, 0.549)
Si (0.500, 0.000, 0.500)
Si (0.500, 0.500, 0.000)
Bi (0.157, 0.114, 0.747)
Bi (0.157, 0.386, 0.247)
Bi (0.843, 0.614, 0.753)
Bi (0.843, 0.886, 0.253)

Largest 12 diffraction maxima, by angle, 15 to 90 degrees two-theta:
30.25°, I = 725; 33.24°, I = 167; 33.48°, I = 201; 33.90°, I = 330; 34.42°, I = 339; 34.59°, I = 949; 35.13°, I = 423; 35.31°, I = 330; 37.32°, I = 474; 38.34°, I = 390; 38.68°, I = 1000; 39.27°, I = 421

---

Structure and theoretical X-ray powder pattern of Hf6Sn2Bi (a GGA-PBE-relaxed structure; Cu Kα (weighted mean of Kα1 and Kα2)).
Peak positions follow from Bragg's law for the DFT cell and can differ from measured ones.

Cell: 8.677 9.123 5.067 Å, 90.00 90.00 90.00°
Positions (direct):
Hf (0.001, 0.163, 0.000)
Hf (0.163, 0.588, 0.500)
Hf (0.164, 0.924, 0.500)
Hf (0.336, 0.424, 0.000)
Hf (0.337, 0.088, 0.000)
Hf (0.499, 0.663, 0.500)
Hf (0.501, 0.337, 0.500)
Hf (0.663, 0.912, 0.000)
Hf (0.664, 0.576, 0.000)
Hf (0.836, 0.076, 0.500)
Hf (0.837, 0.412, 0.500)
Hf (0.999, 0.837, 0.000)
Sn (0.167, 0.253, 0.500)
Sn (0.333, 0.753, 0.000)
Sn (0.667, 0.247, 0.000)
Sn (0.833, 0.747, 0.500)
Bi (0.000, 0.500, 0.000)
Bi (0.500, 0.000, 0.500)

Largest 12 diffraction maxima, by angle, 15 to 90 degrees two-theta:
31.17°, I = 164; 34.40°, I = 209; 35.43°, I = 513; 35.75°, I = 1000; 35.97°, I = 569; 36.07°, I = 295; 40.36°, I = 167; 51.46°, I = 217; 63.82°, I = 190; 64.47°, I = 207; 64.95°, I = 248; 86.98°, I = 124